Structure and computed PXRD pattern of LiFe4B4O12 (a cell relaxed with GGA+U; Cu Kα, 1.54184 Å).

Principal peaks in the range 2θ from 10° to 90°, in order of rising 2θ:
- hkl 1 1 0, 2θ = 19.62°, d = 4.526 Å, intensity 100
- hkl 1 0 1, 2θ = 21.19°, d = 4.194 Å, intensity 93
- hkl 0 1 -1, 2θ = 21.26°, d = 4.178 Å, intensity 53
- hkl 0 1 2, 2θ = 25.80°, d = 3.453 Å, intensity 34
- hkl 1 0 2, 2θ = 25.97°, d = 3.431 Å, intensity 32
- hkl 1 0 -2, 2θ = 26.56°, d = 3.356 Å, intensity 45
- hkl 1 2 0, 2θ = 33.91°, d = 2.644 Å, intensity 39
- hkl 0 0 4, 2θ = 35.28°, d = 2.544 Å, intensity 88
- hkl -1 1 2, 2θ = 38.20°, d = 2.356 Å, intensity 34
- hkl 1 3 1, 2θ = 53.18°, d = 1.722 Å, intensity 30

Atomic structure:
```
data_LiFe4B4O12
_cell_length_a 5.214
_cell_length_b 5.292
_cell_length_c 10.185
_cell_angle_alpha 88.07
_cell_angle_beta 87.95
_cell_angle_gamma 60.85
_space_group_name_H-M_alt 'P 1'
_space_group_IT_number 1
_space_group_name_Hall 'P 1'
loop_
_atom_site_label
_atom_site_type_symbol
_atom_site_fract_x
_atom_site_fract_y
_atom_site_fract_z
Li1 Li 0.000 0.000 0.000
Fe1 Fe 0.005 0.622 0.219
Fe2 Fe 0.333 0.979 0.725
Fe3 Fe 0.340 0.330 0.966
Fe4 Fe 0.648 0.664 0.476
B1 B 0.318 0.318 0.474
B2 B 0.338 0.973 0.217
B3 B 0.670 0.652 0.972
B4 B 0.995 0.646 0.722
O1 O 0.033 0.881 0.731
O2 O 0.056 0.522 0.415
O3 O 0.125 0.904 0.191
O4 O 0.205 0.377 0.767
O5 O 0.307 0.237 0.174
O6 O 0.333 0.060 0.522
O7 O 0.426 0.903 0.923
O8 O 0.542 0.375 0.486
O9 O 0.594 0.776 0.281
O10 O 0.683 0.389 0.973
O11 O 0.736 0.674 0.671
O12 O 0.903 0.680 0.021
```